Computed powder diffractogram of TiSCl for λ = 1.5418 Å (Cu Kα), from a DFT-relaxed cell (PBE, the Materials Project).

Most intense lines, 10° ≤ 2θ ≤ 90°, by angle:
index, two_theta, I (rel.)
0 0 1, 11.68, 100
0 1 1, 21.81, 32
1 1 1, 34.11, 15
1 0 2, 35.24, 79
0 2 0, 37.20, 37
1 0 3, 44.50, 14
1 2 2, 52.17, 45
2 0 0, 53.27, 12
1 2 3, 59.35, 11
2 2 0, 66.76, 11

Structure:
Unit cell a=3.439 b=4.834 c=7.579 alpha=90.00 beta=90.00 gamma=90.00
Space group Pmmn (No. 59, origin choice 2)
Symmetry-distinct sites (fractional):
Ti: 0.250 0.250 0.104
S: 0.250 0.750 0.125
Cl: 0.250 0.750 0.665